1.
The following is a calculated X-ray powder pattern of RbAg3Br6. It was derived from a structure optimized by DFT (PBE), using Cu Kα.

Main lines, most intense first (15° ≤ 2θ ≤ 90°):
2θ (°)  I (rel.)
19.7  100
15.2  82
37.5  58
23.8  58
24.4  55
31.5  55
28.4  50
35.3  43

Crystal structure
```
data_RbAg3Br6
_chemical_formula_sum 'Rb1 Ag3 Br6'
_symmetry_space_group_name_H-M 'P 1'
_symmetry_Int_Tables_number 1
_cell_length_a 7.475
_cell_length_b 7.492
_cell_length_c 7.511
_cell_angle_alpha 64.42
_cell_angle_beta 66.22
_cell_angle_gamma 74.30
loop_
_symmetry_equiv_pos_as_xyz
'x,y,z'
loop_
_atom_site_label
_atom_site_fract_x
_atom_site_fract_y
_atom_site_fract_z
_atom_site_occupancy
Rb1 0.000 0.000 0.000 1
Ag1 0.343 0.193 0.253 1
Ag2 0.457 0.416 0.698 1
Ag3 0.876 0.652 0.721 1
Br1 0.032 0.997 0.463 1
Br2 0.090 0.542 0.954 1
Br3 0.225 0.367 0.515 1
Br4 0.490 0.033 0.972 1
Br5 0.638 0.405 0.059 1
Br6 0.661 0.724 0.498 1
```

2.
The following is a calculated X-ray powder pattern of Rb4AgBr5. It was derived from a structure optimized by DFT (PBE), using Cu Kα.

Main lines, most intense first (15° ≤ 2θ ≤ 90°):
2θ (°)  I (rel.)
26.5  100
37.1  77
25.5  54
37.8  36
46.2  35
67.9  17
59.6  15
61.7  13

Crystal structure
```
data_Rb4AgBr5
_chemical_formula_sum 'Rb4 Ag1 Br5'
_symmetry_space_group_name_H-M 'P 1'
_symmetry_Int_Tables_number 1
_cell_length_a 8.291
_cell_length_b 8.291
_cell_length_c 8.291
_cell_angle_alpha 100.23
_cell_angle_beta 100.23
_cell_angle_gamma 130.14
loop_
_symmetry_equiv_pos_as_xyz
'x,y,z'
loop_
_atom_site_label
_atom_site_fract_x
_atom_site_fract_y
_atom_site_fract_z
_atom_site_occupancy
Rb1 0.094 0.298 0.392 1
Rb2 0.298 0.906 0.204 1
Rb3 0.702 0.094 0.796 1
Rb4 0.906 0.702 0.608 1
Ag1 0.561 0.561 0.000 1
Br1 0.229 0.585 0.819 1
Br2 0.410 0.229 0.644 1
Br3 0.585 0.767 0.356 1
Br4 0.767 0.410 0.181 1
Br5 0.956 0.956 0.000 1
```

3.
The following is a calculated X-ray powder pattern of RbAg3Br4. It was derived from a structure optimized by DFT (PBE), using Cu Kα.

Main lines, most intense first (15° ≤ 2θ ≤ 90°):
2θ (°)  I (rel.)
25.0  100
39.2  66
27.5  62
45.6  54
31.8  48
42.5  37
66.5  34
40.9  27

Crystal structure
```
data_RbAg3Br4
_chemical_formula_sum 'Rb2 Ag6 Br8'
_symmetry_space_group_name_H-M 'P 1'
_symmetry_Int_Tables_number 1
_cell_length_a 7.958
_cell_length_b 7.958
_cell_length_c 7.958
_cell_angle_alpha 90.00
_cell_angle_beta 90.00
_cell_angle_gamma 90.00
loop_
_symmetry_equiv_pos_as_xyz
'x,y,z'
loop_
_atom_site_label
_atom_site_fract_x
_atom_site_fract_y
_atom_site_fract_z
_atom_site_occupancy
Rb1 0.000 0.000 0.000 1
Rb2 0.500 0.500 0.500 1
Ag1 0.000 0.250 0.500 1
Ag2 0.000 0.750 0.500 1
Ag3 0.250 0.500 0.000 1
Ag4 0.500 0.000 0.250 1
Ag5 0.500 0.000 0.750 1
Ag6 0.750 0.500 0.000 1
Br1 0.250 0.250 0.250 1
Br2 0.250 0.250 0.750 1
Br3 0.250 0.750 0.250 1
Br4 0.250 0.750 0.750 1
Br5 0.750 0.250 0.250 1
Br6 0.750 0.250 0.750 1
Br7 0.750 0.750 0.250 1
Br8 0.750 0.750 0.750 1
```

4.
The following is a calculated X-ray powder pattern of RbAg5Br7. It was derived from a structure optimized by DFT (PBE), using Cu Kα.

Main lines, most intense first (15° ≤ 2θ ≤ 90°):
2θ (°)  I (rel.)
29.2  100
30.4  64
43.2  47
41.9  39
28.5  38
44.7  30
32.2  28
28.7  27

Crystal structure
```
data_RbAg5Br7
_chemical_formula_sum 'Rb2 Ag10 Br14'
_symmetry_space_group_name_H-M 'P 1'
_symmetry_Int_Tables_number 1
_cell_length_a 7.292
_cell_length_b 7.292
_cell_length_c 24.295
_cell_angle_alpha 90.00
_cell_angle_beta 90.00
_cell_angle_gamma 145.61
loop_
_symmetry_equiv_pos_as_xyz
'x,y,z'
loop_
_atom_site_label
_atom_site_fract_x
_atom_site_fract_y
_atom_site_fract_z
_atom_site_occupancy
Rb1 0.192 0.808 0.750 1
Rb2 0.808 0.192 0.250 1
Ag1 0.000 0.000 0.000 1
Ag2 0.000 0.000 0.500 1
Ag3 0.287 0.713 0.069 1
Ag4 0.287 0.713 0.431 1
Ag5 0.446 0.554 0.643 1
Ag6 0.446 0.554 0.857 1
Ag7 0.554 0.446 0.143 1
Ag8 0.554 0.446 0.357 1
Ag9 0.713 0.287 0.569 1
Ag10 0.713 0.287 0.931 1
Br1 0.075 0.925 0.605 1
Br2 0.075 0.925 0.895 1
Br3 0.188 0.812 0.161 1
Br4 0.188 0.812 0.339 1
Br5 0.363 0.637 0.531 1
Br6 0.363 0.637 0.969 1
Br7 0.496 0.504 0.250 1
Br8 0.504 0.496 0.750 1
Br9 0.637 0.363 0.031 1
Br10 0.637 0.363 0.469 1
Br11 0.812 0.188 0.661 1
Br12 0.812 0.188 0.839 1
Br13 0.925 0.075 0.105 1
Br14 0.925 0.075 0.395 1
```

5.
The following is a calculated X-ray powder pattern of Rb2Ag3Br5. It was derived from a structure optimized by DFT (PBE), using Cu Kα.

Main lines, most intense first (15° ≤ 2θ ≤ 90°):
2θ (°)  I (rel.)
29.2  100
31.2  86
39.5  64
40.2  60
34.2  46
30.5  45
27.1  43
29.4  36

Crystal structure
```
data_Rb2Ag3Br5
_chemical_formula_sum 'Rb2 Ag3 Br5'
_symmetry_space_group_name_H-M 'P 1'
_symmetry_Int_Tables_number 1
_cell_length_a 8.128
_cell_length_b 8.128
_cell_length_c 9.835
_cell_angle_alpha 111.07
_cell_angle_beta 111.07
_cell_angle_gamma 32.07
loop_
_symmetry_equiv_pos_as_xyz
'x,y,z'
loop_
_atom_site_label
_atom_site_fract_x
_atom_site_fract_y
_atom_site_fract_z
_atom_site_occupancy
Rb1 0.169 0.169 0.205 1
Rb2 0.831 0.831 0.795 1
Ag1 0.000 0.000 0.500 1
Ag2 0.442 0.442 0.241 1
Ag3 0.558 0.558 0.759 1
Br1 0.164 0.164 0.822 1
Br2 0.387 0.387 0.546 1
Br3 0.500 0.500 0.000 1
Br4 0.613 0.613 0.454 1
Br5 0.836 0.836 0.178 1
```

6.
The following is a calculated X-ray powder pattern of Rb2Ag3Br8. It was derived from a structure optimized by DFT (PBE), using Cu Kα.

Main lines, most intense first (15° ≤ 2θ ≤ 90°):
2θ (°)  I (rel.)
33.5  100
48.7  47
29.2  46
17.0  46
16.6  45
23.8  36
48.2  35
34.3  33

Crystal structure
```
data_Rb2Ag3Br8
_chemical_formula_sum 'Rb2 Ag3 Br8'
_symmetry_space_group_name_H-M 'P 1'
_symmetry_Int_Tables_number 1
_cell_length_a 5.345
_cell_length_b 5.345
_cell_length_c 15.690
_cell_angle_alpha 90.00
_cell_angle_beta 90.00
_cell_angle_gamma 90.00
loop_
_symmetry_equiv_pos_as_xyz
'x,y,z'
loop_
_atom_site_label
_atom_site_fract_x
_atom_site_fract_y
_atom_site_fract_z
_atom_site_occupancy
Rb1 0.000 0.000 0.191 1
Rb2 0.000 0.000 0.809 1
Ag1 0.500 0.500 0.000 1
Ag2 0.500 0.500 0.351 1
Ag3 0.500 0.500 0.649 1
Br1 0.000 0.500 0.000 1
Br2 0.000 0.500 0.352 1
Br3 0.000 0.500 0.648 1
Br4 0.500 0.000 0.000 1
Br5 0.500 0.000 0.352 1
Br6 0.500 0.000 0.648 1
Br7 0.500 0.500 0.167 1
Br8 0.500 0.500 0.833 1
```